Entry 1:
For Rb2PuVBr6, a crystal structure in Alexandria, relaxed with PBE gives the theoretical X-ray powder pattern in this record (Cu Kα (λ = 1.5418 Å)).
Lines closer than 0.1° are merged.

Peak list (10 most intense, 2θ from 10° to 90°, by angle)
2θ/deg  d [Å]  I_rel
15.84  5.594  470
22.48  3.956  473
26.42  3.373  269
27.62  3.230  321
32.00  2.797  1000
35.90  2.502  240
45.88  1.978  712
57.03  1.615  243
76.10  1.251  305
84.93  1.142  231

Structural model:
abc: 7.909 11.187 7.914
angles: 90.00 90.00 90.00
Element x y z (fractional)
Rb  0.250  0.001  0.249
Rb  0.250  0.499  0.249
Rb  0.750  0.501  0.751
Rb  0.750  0.999  0.751
Pu  0.250  0.250  0.749
Pu  0.750  0.750  0.251
V  0.250  0.750  0.751
V  0.750  0.250  0.249
Br  0.011  0.750  0.513
Br  0.012  0.750  0.990
Br  0.250  0.511  0.751
Br  0.250  0.989  0.751
Br  0.488  0.750  0.990
Br  0.489  0.750  0.513
Br  0.511  0.250  0.487
Br  0.512  0.250  0.010
Br  0.750  0.011  0.249
Br  0.750  0.489  0.249
Br  0.988  0.250  0.010
Br  0.989  0.250  0.487

=====

Entry 2:
For NaNd3Y2Te6, a crystal structure in Alexandria, relaxed with PBE gives the theoretical X-ray powder pattern in this record (Cu Kα (λ = 1.5418 Å)).
Lines closer than 0.1° are merged.

Peak list (10 most intense, 2θ from 10° to 90°, by angle)
2θ/deg  d [Å]  I_rel
28.32  3.152  1000
40.29  2.238  126
40.40  2.232  251
40.54  2.225  248
40.68  2.218  126
50.30  1.814  133
58.58  1.576  123
66.21  1.411  111
66.40  1.408  110
73.90  1.283  83

Structural model:
abc: 9.980 9.980 8.954
angles: 103.21 103.21 25.68
Element x y z (fractional)
Na  0.000  0.000  0.000
Nd  0.000  0.000  0.500
Nd  0.339  0.339  0.177
Nd  0.661  0.661  0.823
Y  0.334  0.334  0.661
Y  0.666  0.666  0.339
Te  0.168  0.168  0.090
Te  0.169  0.169  0.578
Te  0.495  0.495  0.753
Te  0.505  0.505  0.247
Te  0.831  0.831  0.422
Te  0.832  0.832  0.910

=====

Number 2 is which compound?
NaNd3Y2Te6